# 1
The following is a theoretical powder diffractogram of PuNi4Sb. It was derived from a structure optimized by DFT (PBE), using Cu Kα.

Top 10 peaks for 2θ = 5–70°, by intensity:
(3 1 1), 42.30°, d 2.137, I = 100; (2 2 0), 35.84°, d 2.506, I = 66; (3 3 3), 68.84°, d 1.364, I = 31; (1 1 1), 21.72°, d 4.091, I = 24; (4 2 2), 64.41°, d 1.447, I = 24; (2 2 2), 44.28°, d 2.046, I = 15; (2 0 0), 25.13°, d 3.543, I = 8; (3 3 1), 56.61°, d 1.626, I = 6; (4 2 0), 58.22°, d 1.585, I = 4; (4 0 0), 51.59°, d 1.772, I = 1

Cell: 7.0867 7.0867 7.0867 Å, 90.00 90.00 90.00°
Space group F-43m (No. 216)
One atom of each set of equivalent atoms:
1 Pu 0.0000 0.0000 0.0000 [4 per cell]
2 Ni 0.1255 0.1255 0.3745 [16 per cell]
3 Sb 0.2500 0.2500 0.7500 [4 per cell]


# 2
The following is a theoretical powder diffractogram of Al11AgO17. It was derived from a structure optimized by DFT (PBE), using Cu Kα.

Top 10 peaks for 2θ = 5–70°, by intensity:
(1 1 7), 33.03°, d 2.712, I = 100; (0 2 2), 19.72°, d 4.501, I = 82; (2 0 4), 35.45°, d 2.532, I = 60; (2 2 6), 44.01°, d 2.058, I = 46; (1 1 1), 18.54°, d 4.785, I = 41; (4 0 0), 66.13°, d 1.413, I = 36; (2 0 0), 31.66°, d 2.826, I = 35; (0 2 4), 23.95°, d 3.716, I = 32; (2 2 14), 69.29°, d 1.356, I = 31; (0 4 5), 41.88°, d 2.157, I = 29

Cell: 5.6485 9.7996 22.8084 Å, 90.00 90.00 90.00°
Space group Cmcm (No. 63)
One atom of each set of equivalent atoms:
1 Al 0.0000 0.0000 0.0000 [4 per cell]
2 Al 0.0000 0.1673 0.1059 [8 per cell]
3 Al 0.0000 0.3330 0.5247 [8 per cell]
4 Al 0.0000 0.3335 0.6755 [8 per cell]
5 Al 0.2483 0.4166 0.1073 [16 per cell]
6 Ag 0.0000 0.2674 0.2500 [4 per cell]
7 O 0.0000 0.0007 0.1411 [8 per cell]
8 O 0.0000 0.1573 0.5502 [8 per cell]
9 O 0.0000 0.3251 0.7500 [4 per cell]
10 O 0.0000 0.3334 0.0556 [8 per cell]
11 O 0.0000 0.4989 0.1450 [8 per cell]
12 O 0.2353 0.0794 0.0494 [16 per cell]
13 O 0.2440 0.2512 0.1461 [16 per cell]